Record 1
Simulated powder X-ray diffraction pattern of CsHS2O6F2 for Cu Kα, 1.54184 Å, from a crystal structure in Alexandria, relaxed with PBE.

Principal peaks in the range 2θ from 15° to 90°, sorted by position:
22.67 deg, intensity 91, (3 1 -1)
23.49 deg, intensity 67, (0 0 2)
23.73 deg, intensity 59, (3 1 -2)
25.40 deg, intensity 100, (0 2 1)
27.30 deg, intensity 42, (3 1 0)
35.67 deg, intensity 48, (4 2 -1)

Cell and atoms:
a = 13.810 Å, b = 7.912 Å, c = 9.725 Å
α = 90.00°, β = 128.83°, γ = 90.00°
Space group C2/c (No. 15)
One atom of each set of equivalent atoms:
Cs  0.000  0.117  0.250 [4 per cell]
H  0.250  0.250  0.000 [4 per cell]
S  0.172  0.340  0.721 [8 per cell]
O  0.080  0.209  0.649 [8 per cell]
O  0.222  0.379  0.632 [8 per cell]
O  0.228  0.169  0.083 [8 per cell]
F  0.101  0.490  0.203 [8 per cell]

***

Record 2
Simulated powder X-ray diffraction pattern of Pr3Ho3PuSe8 for Cu Kα, 1.54184 Å, from a crystal structure in Alexandria, relaxed with PBE.

Principal peaks in the range 2θ from 15° to 90°, sorted by position:
30.46 deg, intensity 100, (0 2 4)
43.38 deg, intensity 37, (2 0 8)
43.84 deg, intensity 37, (2 2 0)
54.32 deg, intensity 19, (4 0 4)
71.60 deg, intensity 17, (2 2 12)
72.27 deg, intensity 16, (2 4 4)

Cell and atoms:
a = 8.2603 Å, b = 8.2603 Å, c = 20.5420 Å
α = 90.00°, β = 90.00°, γ = 120.00°
Space group R-3m (No. 166, hexagonal axes)
One atom of each set of equivalent atoms:
Pr  0.0000  0.5000  0.0000 [9 per cell]
Ho  0.0000  0.5000  0.5000 [9 per cell]
Pu  0.0000  0.0000  0.5000 [3 per cell]
Se  0.0000  0.0000  0.2443 [6 per cell]
Se  0.0114  0.5057  0.7532 [18 per cell]